Computed PXRD pattern
Compound: Lu2Ni21B6
Radiation: λ = 1.5418 Å (Cu Kα)
Structure: a crystal structure in the Materials Project, relaxed with PBE

Peak list (10 most intense, 2θ from 10° to 90°, low angle first)
d = 5.307 Å, 2θ = 16.70°, I = 18; d = 3.753 Å, 2θ = 23.71°, I = 19; d = 2.373 Å, 2θ = 37.91°, I = 79; d = 2.167 Å, 2θ = 41.69°, I = 71; d = 2.043 Å, 2θ = 44.35°, I = 100; d = 1.876 Å, 2θ = 48.52°, I = 37; d = 1.794 Å, 2θ = 50.90°, I = 25; d = 1.600 Å, 2θ = 57.60°, I = 22; d = 1.287 Å, 2θ = 73.59°, I = 23; d = 1.251 Å, 2θ = 76.09°, I = 40

Crystal structure
a = 7.505 Å, b = 7.505 Å, c = 7.505 Å
α = 60.00°, β = 60.00°, γ = 60.00°
Fractional positions:
Lu  0.250  0.250  0.250
Lu  0.750  0.750  0.750
Ni  0.000  0.000  0.000
Ni  0.000  0.000  0.337
Ni  0.000  0.000  0.663
Ni  0.000  0.337  0.000
Ni  0.000  0.337  0.663
Ni  0.000  0.663  0.000
Ni  0.000  0.663  0.337
Ni  0.162  0.613  0.613
Ni  0.337  0.000  0.000
Ni  0.337  0.000  0.663
Ni  0.337  0.663  0.000
Ni  0.387  0.387  0.387
Ni  0.387  0.387  0.838
Ni  0.387  0.838  0.387
Ni  0.613  0.162  0.613
Ni  0.613  0.613  0.162
Ni  0.613  0.613  0.613
Ni  0.663  0.000  0.000
Ni  0.663  0.000  0.337
Ni  0.663  0.337  0.000
Ni  0.838  0.387  0.387
B  0.272  0.272  0.728
B  0.272  0.728  0.272
B  0.272  0.728  0.728
B  0.728  0.272  0.272
B  0.728  0.272  0.728
B  0.728  0.728  0.272